The following is a theoretical powder diffractogram of Tb6ScTl. It was derived from a cell relaxed with PBE, using Cu Kα X-rays.

Top 8 peaks for 2θ from 10° to 90°, low angle first:
Position (°2θ)  I (rel.)  (hkl)
31.58  100  1 1 2
36.11  17  0 0 4
36.88  33  2 0 0
52.57  24  2 0 4
53.14  12  2 2 0
62.11  14  1 1 6
63.14  28  3 1 2
65.94  12  2 2 4

Structural model:
```
data_Tb6ScTl
_chemical_formula_sum 'Tb6 Sc1 Tl1'
_space_group_name_H-M_alt 'P 4/m m m'
_space_group_IT_number 123
_space_group_name_Hall '-P 4 2'
_cell_length_a 4.8748
_cell_length_b 4.8748
_cell_length_c 9.9498
_cell_angle_alpha 90.00
_cell_angle_beta 90.00
_cell_angle_gamma 90.00
loop_
_atom_site_label
_atom_site_fract_x
_atom_site_fract_y
_atom_site_fract_z
_atom_site_occupancy
Tb1 0.0000 0.0000 0.0000 1
Tb2 0.0000 0.0000 0.5000 1
Tb3 0.0000 0.5000 0.2499 1
Sc1 0.5000 0.5000 0.0000 1
Tl1 0.5000 0.5000 0.5000 1
```

The following is a theoretical powder diffractogram of Cs3K2Na2Hg4. It was derived from a cell relaxed with PBE, using Cu Kα X-rays.

Top 8 peaks for 2θ from 10° to 90°, low angle first:
Position (°2θ)  I (rel.)  (hkl)
20.28  73  1 0 2
24.75  42  0 1 3
27.67  100  1 1 0
29.96  22  0 1 4
34.55  20  0 2 2
37.80  30  1 1 4
44.82  20  2 1 2
48.93  21  3 0 0

Structural model:
```
data_Cs3K2Na2Hg4
_chemical_formula_sum 'Cs3 K2 Na2 Hg4'
_space_group_name_H-M_alt 'P -3 m 1'
_space_group_IT_number 164
_space_group_name_Hall '-P 3 2"'
_cell_length_a 6.4480
_cell_length_b 6.4480
_cell_length_c 14.1097
_cell_angle_alpha 90.00
_cell_angle_beta 90.00
_cell_angle_gamma 120.00
loop_
_atom_site_label
_atom_site_fract_x
_atom_site_fract_y
_atom_site_fract_z
_atom_site_occupancy
Cs1 0.0000 0.0000 0.0000 1
Cs2 0.0000 0.0000 0.3239 1
K1 0.3333 0.6667 0.1351 1
Na1 0.3333 0.6667 0.6040 1
Hg1 0.3333 0.6667 0.3843 1
Hg2 0.3333 0.6667 0.8481 1
```

The following is a theoretical powder diffractogram of Nd5PuIn3. It was derived from a cell relaxed with PBE, using Cu Kα X-rays.

Top 8 peaks for 2θ from 10° to 90°, low angle first:
Position (°2θ)  I (rel.)  (hkl)
32.24  100  3 0 0
46.23  18  2 2 2
57.50  19  4 1 2
57.53  9  3 3 0
64.16  14  3 0 4
67.51  5  6 0 0
76.78  8  5 2 2
82.70  6  3 3 4

Structural model:
```
data_Nd5PuIn3
_chemical_formula_sum 'Nd10 Pu2 In6'
_space_group_name_H-M_alt 'P 63/m c m'
_space_group_IT_number 193
_space_group_name_Hall '-P 6c 2'
_cell_length_a 9.6121
_cell_length_b 9.6121
_cell_length_c 6.8126
_cell_angle_alpha 90.00
_cell_angle_beta 90.00
_cell_angle_gamma 120.00
loop_
_atom_site_label
_atom_site_fract_x
_atom_site_fract_y
_atom_site_fract_z
_atom_site_occupancy
Nd1 0.0000 0.3177 0.2500 1
Nd2 0.3333 0.6667 0.0000 1
Pu1 0.0000 0.0000 0.0000 1
In1 0.0000 0.3444 0.7500 1
```

The following is a theoretical powder diffractogram of Na6Pd. It was derived from a cell relaxed with PBE, using Cu Kα X-rays.

Top 8 peaks for 2θ from 10° to 90°, low angle first:
Position (°2θ)  I (rel.)  (hkl)
14.09  100  1 1 0
16.93  25  0 0 2
18.53  26  2 0 0
22.09  51  1 1 2
33.24  63  2 2 2
33.60  34  1 3 0
34.64  77  3 1 2
37.19  36  1 1 4

Structural model:
```
data_Na6Pd
_chemical_formula_sum 'Na24 Pd4'
_space_group_name_H-M_alt 'C m c m'
_space_group_IT_number 63
_space_group_name_Hall '-C 2c 2'
_cell_length_a 9.5763
_cell_length_b 8.3324
_cell_length_c 10.4770
_cell_angle_alpha 90.00
_cell_angle_beta 90.00
_cell_angle_gamma 90.00
loop_
_atom_site_label
_atom_site_fract_x
_atom_site_fract_y
_atom_site_fract_z
_atom_site_occupancy
Na1 0.0000 0.1664 0.0933 1
Na2 0.1664 0.5000 0.0000 1
Na3 0.1832 0.2187 0.7500 1
Pd1 0.0000 0.4665 0.2500 1
```

The following is a theoretical powder diffractogram of La3YAl4. It was derived from a cell relaxed with PBE, using Cu Kα X-rays.

Top 8 peaks for 2θ from 10° to 90°, low angle first:
Position (°2θ)  I (rel.)  (hkl)
23.64  17  0 0 4
23.75  34  1 0 0
33.78  100  1 1 0
41.69  16  1 1 4
48.60  12  2 0 0
54.76  14  2 1 0
60.33  11  1 1 8
60.48  24  2 1 4

Structural model:
```
data_La3YAl4
_chemical_formula_sum 'La3 Y1 Al4'
_space_group_name_H-M_alt 'P 4/m m m'
_space_group_IT_number 123
_space_group_name_Hall '-P 4 2'
_cell_length_a 3.7469
_cell_length_b 3.7469
_cell_length_c 15.0544
_cell_angle_alpha 90.00
_cell_angle_beta 90.00
_cell_angle_gamma 90.00
loop_
_atom_site_label
_atom_site_fract_x
_atom_site_fract_y
_atom_site_fract_z
_atom_site_occupancy
La1 0.0000 0.0000 0.0000 1
La2 0.0000 0.0000 0.2564 1
Y1 0.0000 0.0000 0.5000 1
Al1 0.5000 0.5000 0.1278 1
Al2 0.5000 0.5000 0.3897 1
```

The following is a theoretical powder diffractogram of BeNi2P. It was derived from a cell relaxed with PBE, using Cu Kα X-rays.

Top 8 peaks for 2θ from 10° to 90°, low angle first:
Position (°2θ)  I (rel.)  (hkl)
32.65  59  1 0 2
42.91  100  1 1 1
43.13  19  0 0 4
46.55  44  0 1 3
50.29  55  2 0 0
53.32  14  1 1 3
70.95  37  2 1 3
89.49  11  3 1 1

Structural model:
```
data_BeNi2P
_chemical_formula_sum 'Be2 Ni4 P2'
_space_group_name_H-M_alt 'A m m 2'
_space_group_IT_number 38
_cell_length_a 3.6255
_cell_length_b 2.7231
_cell_length_c 8.3900
_cell_angle_alpha 90.00
_cell_angle_beta 90.00
_cell_angle_gamma 90.00
loop_
_space_group_symop_operation_xyz
'x,y,z'
'-x,-y,z'
'-x,y,z'
'x,-y,z'
'x,y+1/2,z+1/2'
'-x,-y+1/2,z+1/2'
'-x,y+1/2,z+1/2'
'x,-y+1/2,z+1/2'
loop_
_atom_site_label
_atom_site_fract_x
_atom_site_fract_y
_atom_site_fract_z
_atom_site_occupancy
Be1 0.0000 0.0000 0.0000 1
Ni1 0.0000 0.0000 0.2666 1
Ni2 0.5000 0.0000 0.5749 1
P1 0.5000 0.0000 0.8447 1
```

The following is a theoretical powder diffractogram of Pa2CoSi2. It was derived from a cell relaxed with PBE, using Cu Kα X-rays.

Top 8 peaks for 2θ from 10° to 90°, low angle first:
Position (°2θ)  I (rel.)  (hkl)
21.25  50  1 1 -1
24.52  49  0 0 2
25.25  73  2 1 0
29.36  51  1 1 -2
36.74  100  1 2 1
38.31  41  2 1 2
39.43  38  4 0 0
44.18  39  3 2 -1

Structural model:
```
data_Pa2CoSi2
_chemical_formula_sum 'Pa8 Co4 Si8'
_space_group_name_H-M_alt 'P 1 21/c 1'
_space_group_IT_number 14
_cell_length_a 9.3418
_cell_length_b 5.5474
_cell_length_c 7.4198
_cell_angle_alpha 90.00
_cell_angle_beta 101.92
_cell_angle_gamma 90.00
loop_
_space_group_symop_operation_xyz
'x,y,z'
'-x,-y,-z'
'-x,y+1/2,-z+1/2'
'x,-y+1/2,z+1/2'
loop_
_atom_site_label
_atom_site_fract_x
_atom_site_fract_y
_atom_site_fract_z
_atom_site_occupancy
Pa1 0.1161 0.1467 0.0851 1
Pa2 0.3440 0.6158 0.9963 1
Co1 0.3349 0.1213 0.8389 1
Si1 0.1273 0.6391 0.2248 1
Si2 0.4359 0.1052 0.1561 1
```

The following is a theoretical powder diffractogram of ScCr2Se4. It was derived from a cell relaxed with PBE, using Cu Kα X-rays.

Top 8 peaks for 2θ from 10° to 90°, low angle first:
Position (°2θ)  I (rel.)  (hkl)
14.38  22  2 0 0
30.84  19  0 0 2
31.04  34  4 0 -2
31.24  100  1 1 1
40.38  65  6 0 -2
48.37  40  3 1 -3
49.01  20  0 2 0
52.93  20  7 1 -1

Structural model:
```
data_ScCr2Se4
_chemical_formula_sum 'Sc2 Cr4 Se8'
_space_group_name_H-M_alt 'C 1 2/m 1'
_space_group_IT_number 12
_cell_length_a 13.9043
_cell_length_b 3.7176
_cell_length_c 6.5462
_cell_angle_alpha 90.00
_cell_angle_beta 117.66
_cell_angle_gamma 90.00
loop_
_space_group_symop_operation_xyz
'x,y,z'
'-x,-y,-z'
'-x,y,-z'
'x,-y,z'
'x+1/2,y+1/2,z'
'-x+1/2,-y+1/2,-z'
'-x+1/2,y+1/2,-z'
'x+1/2,-y+1/2,z'
loop_
_atom_site_label
_atom_site_fract_x
_atom_site_fract_y
_atom_site_fract_z
_atom_site_occupancy
Sc1 0.0000 0.0000 0.0000 1
Cr1 0.2420 0.5000 0.7249 1
Se1 0.1313 0.0000 0.4612 1
Se2 0.1377 0.5000 0.9753 1
```

The following is a theoretical powder diffractogram of RbHg6As2. It was derived from a cell relaxed with PBE, using Cu Kα X-rays.

Top 8 peaks for 2θ from 10° to 90°, low angle first:
Position (°2θ)  I (rel.)  (hkl)
30.84  100  1 1 2
34.95  53  2 0 0
37.38  47  1 1 3
50.26  19  2 2 0
52.07  10  2 0 4
60.04  16  2 0 5
60.14  31  3 1 2
64.28  22  3 1 3

Structural model:
```
data_RbHg6As2
_chemical_formula_sum 'Rb1 Hg6 As2'
_space_group_name_H-M_alt 'P 4/m m m'
_space_group_IT_number 123
_space_group_name_Hall '-P 4 2'
_cell_length_a 5.1341
_cell_length_b 5.1341
_cell_length_c 9.6337
_cell_angle_alpha 90.00
_cell_angle_beta 90.00
_cell_angle_gamma 90.00
loop_
_atom_site_label
_atom_site_fract_x
_atom_site_fract_y
_atom_site_fract_z
_atom_site_occupancy
Rb1 0.0000 0.0000 0.0000 1
Hg1 0.0000 0.0000 0.5000 1
Hg2 0.0000 0.5000 0.2905 1
Hg3 0.5000 0.5000 0.5000 1
As1 0.5000 0.5000 0.1239 1
```

The following is a theoretical powder diffractogram of Na4PuTh3S8. It was derived from a cell relaxed with PBE, using Cu Kα X-rays.

Top 8 peaks for 2θ from 10° to 90°, low angle first:
Position (°2θ)  I (rel.)  (hkl)
13.05  100  0 0 3
25.75  59  0 2 1
26.86  44  2 0 2
30.95  96  0 2 4
33.71  28  2 0 5
43.95  36  2 0 8
44.71  35  2 2 0
46.77  27  2 2 3

Structural model:
```
data_Na4PuTh3S8
_chemical_formula_sum 'Na12 Pu3 Th9 S24'
_space_group_name_H-M_alt 'R -3 m'
_space_group_IT_number 166
_space_group_name_Hall '-R 3 2"'
_cell_length_a 8.1084
_cell_length_b 8.1084
_cell_length_c 20.3511
_cell_angle_alpha 90.00
_cell_angle_beta 90.00
_cell_angle_gamma 120.00
loop_
_atom_site_label
_atom_site_fract_x
_atom_site_fract_y
_atom_site_fract_z
_atom_site_occupancy
Na1 0.0000 0.0000 0.0000 1
Na2 0.0000 0.5000 0.0000 1
Pu1 0.0000 0.0000 0.5000 1
Th1 0.0000 0.5000 0.5000 1
S1 0.0000 0.0000 0.2469 1
S2 0.0014 0.5007 0.7546 1
```